Entry 1:
For CrCo6Tc, a cell relaxed with GGA-PBE gives the computed XRD peak list in this record (λ = 1.5418 Å (Cu Kα)).
Kinematic intensities with the Lorentz-polarization factor, no thermal factor.

Main lines, in order of rising 2θ (10 to 90 degrees two-theta):
41.5°, I = 26; 45.0°, I = 39; 47.3°, I = 51; 47.4°, I = 100; 75.3°, I = 15; 84.8°, I = 16

Structural model:
Cell: 4.031 5.023 4.377 Å, 90.00 90.00 90.00°
Fractional coordinates of all 8 atoms:
Cr1 0.000 0.000 0.000
Co1 0.000 0.244 0.501
Co2 0.000 0.500 0.013
Co3 0.000 0.756 0.501
Co4 0.500 0.000 0.670
Co5 0.500 0.247 0.170
Co6 0.500 0.753 0.170
Tc1 0.500 0.500 0.673


Entry 2:
For Sm2C3, a cell relaxed with GGA-PBE gives the computed XRD peak list in this record (λ = 1.5418 Å (Cu Kα)).
Kinematic intensities with the Lorentz-polarization factor, no thermal factor.

Main lines, in order of rising 2θ (10 to 90 degrees two-theta):
25.7°, I = 47; 29.8°, I = 96; 33.4°, I = 100; 39.8°, I = 52; 55.2°, I = 66; 59.7°, I = 28

Structural model:
Cell: 7.342 7.342 7.342 Å, 109.47 109.47 109.47°
Fractional coordinates of all 20 atoms:
Sm1 0.000 0.102 0.500
Sm2 0.000 0.602 0.500
Sm3 0.102 0.500 0.000
Sm4 0.398 0.398 0.398
Sm5 0.500 0.000 0.102
Sm6 0.500 0.000 0.602
Sm7 0.602 0.500 0.000
Sm8 0.898 0.898 0.898
C1 0.046 0.796 0.250
C2 0.204 0.954 0.250
C3 0.250 0.046 0.796
C4 0.250 0.204 0.954
C5 0.296 0.546 0.750
C6 0.454 0.704 0.750
C7 0.546 0.750 0.296
C8 0.704 0.750 0.454
C9 0.750 0.296 0.546
C10 0.750 0.454 0.704
C11 0.796 0.250 0.046
C12 0.954 0.250 0.204